Starting from DFT lattice parameters and positions (PBE), the X-ray powder pattern of Sm12AlPd6 was calculated for Cu Kα X-rays.
Neutral-atom scattering factors, no anomalous dispersion.

The 8 most intense peaks (2θ = 15–90°), low angle first:
2θ (°)	d_spacing	Rel. int.
30.5	2.932	21
33.0	2.714	100
37.6	2.394	14
45.5	1.992	18
52.5	1.742	22
54.2	1.693	15
55.8	1.648	27
81.5	1.181	15

Crystal structure
abc: 8.796 8.796 8.796
angles: 109.47 109.47 109.47
Element x y z (fractional)
Sm  0.114  0.297  0.817
Sm  0.183  0.480  0.297
Sm  0.183  0.886  0.703
Sm  0.297  0.183  0.480
Sm  0.297  0.817  0.114
Sm  0.480  0.297  0.183
Sm  0.520  0.703  0.817
Sm  0.703  0.183  0.886
Sm  0.703  0.817  0.520
Sm  0.817  0.114  0.297
Sm  0.817  0.520  0.703
Sm  0.886  0.703  0.183
Al  0.000  0.000  0.000
Pd  0.135  0.500  0.635
Pd  0.365  0.865  0.500
Pd  0.500  0.365  0.865
Pd  0.500  0.635  0.135
Pd  0.635  0.135  0.500
Pd  0.865  0.500  0.365

Starting from DFT lattice parameters and positions (PBE), the X-ray powder pattern of SmAl9Pd2 was calculated for Cu Kα X-rays.
Neutral-atom scattering factors, no anomalous dispersion.

The 8 most intense peaks (2θ = 15–90°), low angle first:
2θ (°)	d_spacing	Rel. int.
22.3	3.993	100
32.6	2.749	69
33.4	2.681	34
36.4	2.470	59
37.5	2.398	34
38.4	2.346	34
45.4	1.996	43
47.4	1.919	24

Crystal structure
abc: 8.396 8.396 8.396
angles: 100.63 100.63 129.12
Element x y z (fractional)
Sm  0.375  0.625  0.750
Sm  0.625  0.375  0.250
Al  0.125  0.875  0.250
Al  0.133  0.559  0.330
Al  0.133  0.803  0.574
Al  0.197  0.271  0.330
Al  0.197  0.867  0.926
Al  0.271  0.197  0.830
Al  0.271  0.441  0.074
Al  0.441  0.271  0.574
Al  0.441  0.867  0.170
Al  0.559  0.133  0.830
Al  0.559  0.729  0.426
Al  0.729  0.559  0.926
Al  0.729  0.803  0.170
Al  0.803  0.133  0.074
Al  0.803  0.729  0.670
Al  0.867  0.197  0.426
Al  0.867  0.441  0.670
Al  0.875  0.125  0.750
Pd  0.000  0.000  0.000
Pd  0.000  0.000  0.500
Pd  0.000  0.500  0.000
Pd  0.500  0.000  0.500

Starting from DFT lattice parameters and positions (PBE), the X-ray powder pattern of SmAlPd3 was calculated for Cu Kα X-rays.
Neutral-atom scattering factors, no anomalous dispersion.

The 8 most intense peaks (2θ = 15–90°), low angle first:
2θ (°)	d_spacing	Rel. int.
32.7	2.738	13
34.5	2.598	100
39.4	2.289	22
43.4	2.087	38
55.4	1.660	12
60.0	1.542	13
63.0	1.476	12
73.9	1.283	21

Crystal structure
abc: 5.902 5.902 5.475
angles: 90.00 90.00 90.00
Element x y z (fractional)
Sm  0.250  0.750  0.000
Sm  0.750  0.250  0.000
Al  0.250  0.250  0.260
Al  0.750  0.750  0.740
Pd  0.000  0.000  0.500
Pd  0.000  0.500  0.500
Pd  0.250  0.250  0.829
Pd  0.500  0.000  0.500
Pd  0.500  0.500  0.500
Pd  0.750  0.750  0.171

Starting from DFT lattice parameters and positions (PBE), the X-ray powder pattern of SmAlPd3 was calculated for Cu Kα X-rays.
Neutral-atom scattering factors, no anomalous dispersion.

The 8 most intense peaks (2θ = 15–90°), low angle first:
2θ (°)	d_spacing	Rel. int.
29.7	3.010	40
30.7	2.911	69
35.0	2.566	45
35.8	2.509	100
38.4	2.344	74
39.7	2.272	98
42.1	2.148	82
73.9	1.283	36

Crystal structure
abc: 6.479 6.479 6.479
angles: 129.07 105.38 96.00
Element x y z (fractional)
Sm  0.250  0.000  0.250
Sm  0.750  0.000  0.750
Al  0.000  0.500  0.500
Al  0.500  0.500  0.000
Pd  0.199  0.000  0.699
Pd  0.199  0.500  0.199
Pd  0.419  0.669  0.750
Pd  0.581  0.331  0.250
Pd  0.801  0.000  0.301
Pd  0.801  0.500  0.801

Starting from DFT lattice parameters and positions (PBE), the X-ray powder pattern of Sm4Al3Pd was calculated for Cu Kα X-rays.
Neutral-atom scattering factors, no anomalous dispersion.

The 8 most intense peaks (2θ = 15–90°), low angle first:
2θ (°)	d_spacing	Rel. int.
24.2	3.679	16
24.4	3.646	33
34.6	2.590	100
34.8	2.578	50
50.0	1.823	19
62.0	1.497	18
62.3	1.491	36
83.9	1.153	16

Crystal structure
abc: 3.646 3.646 14.715
angles: 90.00 90.00 90.00
Element x y z (fractional)
Sm  0.000  0.000  0.118
Sm  0.000  0.000  0.373
Sm  0.000  0.000  0.627
Sm  0.000  0.000  0.882
Al  0.500  0.500  0.246
Al  0.500  0.500  0.500
Al  0.500  0.500  0.754
Pd  0.500  0.500  0.000

Starting from DFT lattice parameters and positions (PBE), the X-ray powder pattern of Sm2AlPd6 was calculated for Cu Kα X-rays.
Neutral-atom scattering factors, no anomalous dispersion.

The 8 most intense peaks (2θ = 15–90°), low angle first:
2θ (°)	d_spacing	Rel. int.
31.1	2.872	34
37.2	2.417	100
40.8	2.212	17
41.5	2.174	70
56.2	1.637	14
64.1	1.454	23
72.9	1.297	17
79.2	1.209	18

Crystal structure
abc: 6.654 6.654 6.654
angles: 51.82 51.82 51.82
Element x y z (fractional)
Sm  0.232  0.232  0.232
Sm  0.768  0.768  0.768
Al  0.500  0.500  0.500
Pd  0.228  0.228  0.741
Pd  0.228  0.741  0.228
Pd  0.259  0.772  0.772
Pd  0.741  0.228  0.228
Pd  0.772  0.259  0.772
Pd  0.772  0.772  0.259

Starting from DFT lattice parameters and positions (PBE), the X-ray powder pattern of Sm4AlPd3 was calculated for Cu Kα X-rays.
Neutral-atom scattering factors, no anomalous dispersion.

The 8 most intense peaks (2θ = 15–90°), low angle first:
2θ (°)	d_spacing	Rel. int.
25.4	3.513	18
31.4	2.850	100
32.2	2.783	28
33.4	2.682	32
38.0	2.371	22
39.0	2.308	54
39.8	2.265	30
46.8	1.941	18

Crystal structure
abc: 3.883 4.529 11.130
angles: 90.00 90.00 90.00
Element x y z (fractional)
Sm  0.000  0.000  0.000
Sm  0.000  0.500  0.268
Sm  0.500  0.000  0.485
Sm  0.500  0.500  0.779
Al  0.000  0.000  0.704
Pd  0.000  0.500  0.558
Pd  0.500  0.000  0.218
Pd  0.500  0.500  0.053

Starting from DFT lattice parameters and positions (PBE), the X-ray powder pattern of SmAl12Pd6 was calculated for Cu Kα X-rays.
Neutral-atom scattering factors, no anomalous dispersion.

The 8 most intense peaks (2θ = 15–90°), low angle first:
2θ (°)	d_spacing	Rel. int.
22.2	4.005	35
26.0	3.425	80
27.2	3.274	39
31.5	2.840	100
34.5	2.602	44
41.3	2.185	58
45.2	2.008	36
45.3	2.003	54

Crystal structure
abc: 7.183 7.183 7.183
angles: 104.57 104.57 104.57
Element x y z (fractional)
Sm  0.000  0.000  0.000
Al  0.114  0.500  0.886
Al  0.114  0.886  0.500
Al  0.149  0.401  0.401
Al  0.401  0.149  0.401
Al  0.401  0.401  0.149
Al  0.500  0.114  0.886
Al  0.500  0.886  0.114
Al  0.599  0.599  0.851
Al  0.599  0.851  0.599
Al  0.851  0.599  0.599
Al  0.886  0.114  0.500
Al  0.886  0.500  0.114
Pd  0.280  0.280  0.710
Pd  0.280  0.710  0.280
Pd  0.290  0.720  0.720
Pd  0.710  0.280  0.280
Pd  0.720  0.290  0.720
Pd  0.720  0.720  0.290